# Na2NdMnO4
Calculated powder X-ray diffraction pattern, copper Kα. Input: a structure optimized by DFT (GGA+U).
No peak broadening, texture or thermal motion is included.

The 6 most intense peaks (10° ≤ 2θ ≤ 80°), low angle first:
2θ (°)  d_spacing  Rel. int.
16.18  5.478  100.0
32.05  2.792  62.1
32.70  2.739  44.9
35.24  2.546  46.6
38.01  2.367  34.6
39.30  2.293  33.1

Atomic structure:
```
16
Lattice="4.7369 -4.5851 0.0000 4.7369 4.5851 0.0000 -4.5780 0.0000 5.0930" Properties=species:S:1:pos:R:3 pbc="T T T"
Na 0.0000 0.0000 0.0000
Na -2.2890 0.0000 2.5465
Na 2.3685 2.2926 0.0000
Na 0.0794 -2.2926 2.5465
Nd 0.0794 2.2926 2.5465
Nd 2.3685 -2.2926 0.0000
Mn 4.7369 0.0000 0.0000
Mn 2.4479 0.0000 2.5465
O 0.1832 2.0112 4.9381
O -1.8077 0.0032 4.9076
O 0.4813 -0.0032 2.3612
O 2.4236 2.0112 2.7014
O 2.4722 -2.0112 2.3916
O 4.4145 0.0032 2.7318
O 6.7035 -0.0032 0.1853
O 4.7126 -2.0112 0.1549
```